[1]
Simulated PXRD pattern
Compound: Cs2InRuAu
Radiation: copper Kα
Structure: a cell relaxed with GGA-PBE
Lines closer than 0.1° are merged.

Main lines, in order of rising 2θ (10 to 90 degrees two-theta):
2θ/deg	intensity
24.8	866
24.9	1000
35.5	397
43.6	446
43.8	378
50.8	283

Structural model:
Unit cell a=7.149 b=7.149 c=5.106 alpha=90.00 beta=90.00 gamma=90.00
Element x y z (fractional)
Cs (0.000, 0.500, 0.000)
Cs (0.500, 0.000, 0.000)
In (0.000, 0.000, 0.000)
Ru (0.000, 0.000, 0.500)
Au (0.500, 0.500, 0.500)

---

[2]
Simulated PXRD pattern
Compound: LiMg12In7
Radiation: copper Kα
Structure: a cell relaxed with GGA-PBE
Lines closer than 0.1° are merged.

Main lines, in order of rising 2θ (10 to 90 degrees two-theta):
2θ/deg	intensity
18.2	652
22.7	331
28.0	340
31.4	410
36.1	1000
37.0	466

Structural model:
Unit cell a=8.227 b=8.227 c=8.227 alpha=106.16 beta=106.16 gamma=106.16
Element x y z (fractional)
Li (0.000, 0.000, 0.000)
Mg (0.038, 0.300, 0.410)
Mg (0.227, 0.663, 0.370)
Mg (0.300, 0.410, 0.038)
Mg (0.337, 0.630, 0.773)
Mg (0.370, 0.227, 0.663)
Mg (0.410, 0.038, 0.300)
Mg (0.590, 0.962, 0.700)
Mg (0.630, 0.773, 0.337)
Mg (0.663, 0.370, 0.227)
Mg (0.700, 0.590, 0.962)
Mg (0.773, 0.337, 0.630)
Mg (0.962, 0.700, 0.590)
In (0.022, 0.899, 0.319)
In (0.101, 0.681, 0.978)
In (0.319, 0.022, 0.899)
In (0.500, 0.500, 0.500)
In (0.681, 0.978, 0.101)
In (0.899, 0.319, 0.022)
In (0.978, 0.101, 0.681)

---

[3]
Simulated PXRD pattern
Compound: La2Ti3ZnO10
Radiation: copper Kα
Structure: a cell relaxed with GGA-PBE
Lines closer than 0.1° are merged.

Main lines, in order of rising 2θ (10 to 90 degrees two-theta):
2θ/deg	intensity
28.4	1000
32.6	798
33.0	358
42.4	327
47.3	536
58.6	304

Structural model:
Unit cell a=13.983 b=13.983 c=13.983 alpha=164.20 beta=164.20 gamma=22.41
Element x y z (fractional)
La (0.080, 0.080, 0.000)
La (0.920, 0.920, 0.000)
Ti (0.344, 0.344, 0.000)
Ti (0.500, 0.500, 0.000)
Ti (0.656, 0.656, 0.000)
Zn (0.750, 0.250, 0.500)
O (0.139, 0.639, 0.500)
O (0.278, 0.278, 0.000)
O (0.361, 0.861, 0.500)
O (0.429, 0.429, 0.000)
O (0.501, 0.001, 0.500)
O (0.571, 0.571, 0.000)
O (0.642, 0.142, 0.500)
O (0.722, 0.722, 0.000)
O (0.858, 0.358, 0.500)
O (0.999, 0.499, 0.500)